Structure and theoretical X-ray powder pattern of NaSiSbO5 (a PBE-relaxed structure; Cu Ka).
Intensities are scaled so that the largest is 1000.

Main lines, in order of rising 2θ (5° ≤ 2θ ≤ 70°):
d = 5.023 Å, 2θ 17.66, intensity 1000
d = 4.380 Å, 2θ 20.27, intensity 262
d = 3.337 Å, 2θ 26.72, intensity 816
d = 3.066 Å, 2θ 29.13, intensity 411
d = 2.636 Å, 2θ 34.01, intensity 385
d = 2.622 Å, 2θ 34.20, intensity 390
d = 2.150 Å, 2θ 42.01, intensity 184
d = 1.990 Å, 2θ 45.58, intensity 134
d = 1.719 Å, 2θ 53.28, intensity 142
d = 1.674 Å, 2θ 54.83, intensity 147

Cell and atoms:
a b c (Å): 5.5459 5.5459 7.2618
angles (deg): 105.41 105.41 104.33
Sites, in units of the cell vectors:
Na  0.1629  0.8371  0.7500
Na  0.8371  0.1629  0.2500
Si  0.1842  0.8158  0.2500
Si  0.8158  0.1842  0.7500
Sb  0.5000  0.5000  0.0000
Sb  0.5000  0.5000  0.5000
O  0.1206  0.2550  0.9069
O  0.1910  0.6070  0.3758
O  0.2550  0.1206  0.4069
O  0.3930  0.8090  0.1242
O  0.4165  0.5835  0.7500
O  0.5835  0.4165  0.2500
O  0.6070  0.1910  0.8758
O  0.7450  0.8794  0.5931
O  0.8090  0.3930  0.6242
O  0.8794  0.7450  0.0931